For Ag4Br3Cl2, DFT lattice parameters and positions (PBE) gives the theoretical powder diffraction line list in this record (λ = 1.5418 Å (Cu Kα)).

Structure:
Unit cell a=10.7569 b=10.7569 c=7.2969 alpha=106.55 beta=106.55 gamma=36.36
Fractional positions:
Ag (0.0875, 0.5589, 0.2378)
Ag (0.1332, 0.7146, 0.8933)
Ag (0.2854, 0.8668, 0.6067)
Ag (0.4411, 0.9125, 0.2622)
Ag (0.5589, 0.0875, 0.7378)
Ag (0.7146, 0.1332, 0.3933)
Ag (0.8668, 0.2854, 0.1067)
Ag (0.9125, 0.4411, 0.7622)
Br (0.0497, 0.9503, 0.2500)
Br (0.3425, 0.4359, 0.5751)
Br (0.4359, 0.3425, 0.0751)
Br (0.5641, 0.6575, 0.9249)
Br (0.6575, 0.5641, 0.4249)
Br (0.9503, 0.0497, 0.7500)
Cl (0.1425, 0.2518, 0.0848)
Cl (0.2518, 0.1425, 0.5848)
Cl (0.7482, 0.8575, 0.4152)
Cl (0.8575, 0.7482, 0.9152)

Principal peaks in the range 10 to 80 degrees two-theta, sorted by position:
2θ (°)  d (Å)  I (rel.)
18.20  4.875  25
25.15  3.541  61
26.21  3.400  100
26.43  3.372  33
30.47  2.934  32
36.40  2.468  47
37.97  2.370  49
40.05  2.251  35
43.42  2.084  27
46.03  1.972  73